The following is a computed powder XRD pattern of K2Zn2BiO6. It was derived from the GGA-PBE geometry in Alexandria, using Cu Kα (weighted mean of Kα1 and Kα2).
Intensities are scaled so that the largest is 100.

Most intense lines, 2θ from 15° to 90°, sorted by position:
| 2θ (°) | I_rel |
| --- | --- |
| 23.28 | 74 |
| 28.05 | 35 |
| 32.44 | 76 |
| 35.46 | 55 |
| 43.41 | 100 |
| 54.58 | 24 |
| 57.88 | 26 |
| 68.04 | 24 |

Structural model:
Lattice parameters (Å, degrees): 5.5191 5.5191 6.3612 90.00 90.00 120.00
Positions (direct):
K1 0.3333 0.6667 0.0000
K2 0.6667 0.3333 0.0000
Zn1 0.3333 0.6667 0.5000
Zn2 0.6667 0.3333 0.5000
Bi1 0.0000 0.0000 0.5000
O1 0.0000 0.3351 0.3247
O2 0.0000 0.6649 0.6753
O3 0.3351 0.0000 0.3247
O4 0.3351 0.3351 0.6753
O5 0.6649 0.0000 0.6753
O6 0.6649 0.6649 0.3247

---

The following is a computed powder XRD pattern of K8Bi2P. It was derived from the GGA-PBE geometry in Alexandria, using Cu Kα (weighted mean of Kα1 and Kα2).
Intensities are scaled so that the largest is 100.

Most intense lines, 2θ from 15° to 90°, sorted by position:
| 2θ (°) | I_rel |
| --- | --- |
| 17.37 | 68 |
| 18.58 | 46 |
| 20.99 | 28 |
| 26.53 | 37 |
| 29.43 | 100 |
| 31.32 | 33 |
| 34.05 | 59 |
| 34.71 | 34 |

Structural model:
Lattice parameters (Å, degrees): 10.7949 10.7949 10.7949 149.32 57.67 132.44
Positions (direct):
K1 0.0000 0.0000 0.0000
K2 0.1049 0.4568 0.6481
K3 0.2439 0.9494 0.2946
K4 0.3469 0.8469 0.5000
K5 0.5354 0.6298 0.9055
K6 0.6548 0.9494 0.7054
K7 0.7243 0.6298 0.0945
K8 0.8086 0.4568 0.3519
Bi1 0.0753 0.2322 0.8432
Bi2 0.3890 0.2322 0.1568
P1 0.7319 0.2319 0.5000

---

The following is a computed powder XRD pattern of KBiP2Se6. It was derived from the GGA-PBE geometry in Alexandria, using Cu Kα (weighted mean of Kα1 and Kα2).
Intensities are scaled so that the largest is 100.

Most intense lines, 2θ from 15° to 90°, sorted by position:
| 2θ (°) | I_rel |
| --- | --- |
| 18.91 | 49 |
| 28.16 | 63 |
| 28.56 | 49 |
| 28.77 | 100 |
| 30.50 | 48 |
| 31.13 | 45 |
| 34.73 | 56 |
| 36.99 | 53 |

Structural model:
Lattice parameters (Å, degrees): 12.5553 7.7320 12.8807 90.00 109.89 90.00
Positions (direct):
K1 0.0959 0.0950 0.3779
K2 0.0959 0.4050 0.8779
K3 0.9041 0.5950 0.1221
K4 0.9041 0.9050 0.6221
Bi1 0.3814 0.6467 0.6741
Bi2 0.3814 0.8533 0.1741
Bi3 0.6186 0.1467 0.8259
Bi4 0.6186 0.3533 0.3259
P1 0.2665 0.1209 0.7068
P2 0.2665 0.3791 0.2068
P3 0.2659 0.5998 0.3250
P4 0.2659 0.9002 0.8250
P5 0.7341 0.0998 0.1750
P6 0.7341 0.4002 0.6750
P7 0.7335 0.6209 0.7932
P8 0.7335 0.8791 0.2932
Se1 0.0973 0.2281 0.6335
Se2 0.0973 0.2719 0.1335
Se3 0.1674 0.6944 0.7117
Se4 0.1674 0.8056 0.2117
Se5 0.1987 0.5092 0.4506
Se6 0.1987 0.9908 0.9506
Se7 0.3373 0.5017 0.0860
Se8 0.3373 0.9983 0.5860
Se9 0.3891 0.1901 0.3148
Se10 0.3891 0.3099 0.8148
Se11 0.4451 0.6941 0.3873
Se12 0.4451 0.8059 0.8873
Se13 0.5549 0.1941 0.1127
Se14 0.5549 0.3059 0.6127
Se15 0.6109 0.6901 0.1852
Se16 0.6109 0.8099 0.6852
Se17 0.6627 0.0017 0.4140
Se18 0.6627 0.4983 0.9140
Se19 0.8013 0.0092 0.0494
Se20 0.8013 0.4908 0.5494
Se21 0.8326 0.1944 0.7883
Se22 0.8326 0.3056 0.2883
Se23 0.9027 0.7281 0.8665
Se24 0.9027 0.7719 0.3665

---

Q: Which formula does entry 3 have?
A: KBiP2Se6

---

Q: Number 2 is which compound?
A: K8Bi2P